(1)
Structure and calculated XRD peak list of Li3CoN2 (a cell relaxed with PBE; copper Kα).
Lines closer than 0.1° are merged.

Unit cell a=4.6628 b=4.6628 c=5.8876 alpha=90.00 beta=90.00 gamma=84.08
Positions (direct):
Li  0.2313  0.7687  0.7500
Li  0.3016  0.3016  0.0000
Li  0.3016  0.3016  0.5000
Li  0.6984  0.6984  0.0000
Li  0.6984  0.6984  0.5000
Li  0.7687  0.2313  0.2500
Co  0.1647  0.8353  0.2500
Co  0.8353  0.1647  0.7500
N  0.0000  0.0000  0.0000
N  0.0000  0.0000  0.5000
N  0.4422  0.5578  0.2500
N  0.5578  0.4422  0.7500

The 12 most intense peaks (2θ = 5–70°), in order of rising 2θ:
Position (°2θ)  I_rel
19.1  28
24.4  100
25.7  60
30.4  16
32.5  16
40.2  26
41.9  16
44.6  18
45.5  11
50.5  12
55.7  19
68.6  13

---

(2)
Structure and calculated XRD peak list of Li2CoWN4 (a cell relaxed with PBE; copper Kα).
Lines closer than 0.1° are merged.

Unit cell a=6.3552 b=5.8145 c=5.1141 alpha=90.00 beta=90.00 gamma=90.00
Positions (direct):
Li  0.2480  0.1605  0.0000
Li  0.2520  0.8395  0.5000
Li  0.7480  0.8395  0.5000
Li  0.7520  0.1605  0.0000
Co  0.0000  0.6732  0.0000
Co  0.5000  0.3268  0.5000
W  0.0000  0.3555  0.5095
W  0.5000  0.6444  0.0095
N  0.0000  0.3803  0.8777
N  0.0000  0.6479  0.3553
N  0.2469  0.1899  0.4209
N  0.2531  0.8101  0.9209
N  0.5000  0.3521  0.8553
N  0.5000  0.6197  0.3777
N  0.7469  0.8101  0.9209
N  0.7531  0.1899  0.4209

The 12 most intense peaks (2θ = 5–70°), in order of rising 2θ:
Position (°2θ)  I_rel
15.2  69
20.7  23
22.3  37
23.2  100
27.1  22
28.1  42
32.1  34
35.1  31
35.5  36
36.7  47
45.5  23
45.9  39

---

(3)
Structure and calculated XRD peak list of LiNbCo (a cell relaxed with PBE; copper Kα).
Lines closer than 0.1° are merged.

Unit cell a=12.6761 b=2.6796 c=2.6796 alpha=84.58 beta=90.00 gamma=90.00
Positions (direct):
Li  0.1498  0.0000  0.0000
Li  0.8502  0.0000  0.0000
Nb  0.3524  0.5014  0.5014
Nb  0.6476  0.5014  0.5014
Co  0.0000  0.4997  0.4997
Co  0.5000  0.0015  0.0015

The 12 most intense peaks (2θ = 5–70°), in order of rising 2θ:
Position (°2θ)  I_rel
7.0  100
14.0  9
21.0  22
33.6  15
40.0  55
42.8  9
44.4  10
45.8  10
49.6  6
50.6  7
55.4  7
64.5  5